Theoretical X-ray diffraction stick pattern
Compound: CeBi2SeO4
Radiation: Cu Kα
Structure: a DFT-relaxed cell (GGA-PBE, the Materials Project)
Kinematic intensities with the Lorentz-polarization factor, no thermal factor.

Principal peaks in the range 5° ≤ 2θ ≤ 70°, in order of rising 2θ:
d = 3.900 Å, 2θ = 22.8°, I = 11.2; d = 3.576 Å, 2θ = 24.9°, I = 15.2; d = 2.941 Å, 2θ = 30.4°, I = 100.0; d = 2.758 Å, 2θ = 32.5°, I = 41.4; d = 2.371 Å, 2θ = 38.0°, I = 10.7; d = 2.026 Å, 2θ = 44.7°, I = 19.9; d = 1.950 Å, 2θ = 46.6°, I = 23.2; d = 1.738 Å, 2θ = 52.6°, I = 13.1; d = 1.628 Å, 2θ = 56.5°, I = 12.1; d = 1.625 Å, 2θ = 56.6°, I = 35.2

Cell and atoms:
```
CeBi2SeO4
1.0
3.900 0.000 0.000
0.000 3.900 0.000
0.000 0.000 8.958
Ce Bi Se O
1 2 1 4
Cartesian
0.000 0.000 0.000
1.950 1.950 2.639
1.950 1.950 6.319
0.000 0.000 4.479
0.000 1.950 1.367
0.000 1.950 7.590
1.950 0.000 1.367
1.950 0.000 7.590
```

Theoretical X-ray diffraction stick pattern
Compound: Sr2CeBiO6
Radiation: Cu Kα
Structure: a DFT-relaxed cell (GGA-PBE, the Materials Project)
Kinematic intensities with the Lorentz-polarization factor, no thermal factor.

Principal peaks in the range 5° ≤ 2θ ≤ 70°, in order of rising 2θ:
d = 4.332 Å, 2θ = 20.5°, I = 28.7; d = 3.115 Å, 2θ = 28.7°, I = 24.0; d = 3.062 Å, 2θ = 29.2°, I = 100.0; d = 3.016 Å, 2θ = 29.6°, I = 23.2; d = 2.166 Å, 2θ = 41.7°, I = 36.8; d = 1.788 Å, 2θ = 51.1°, I = 18.0; d = 1.777 Å, 2θ = 51.4°, I = 11.5; d = 1.758 Å, 2θ = 52.0°, I = 11.7; d = 1.750 Å, 2θ = 52.3°, I = 24.0; d = 1.370 Å, 2θ = 68.5°, I = 12.0

Cell and atoms:
```
Sr2CeBiO6
1.0
6.032 0.000 0.000
0.000 6.229 0.000
-6.018 0.000 8.657
Sr Ce Bi O
4 2 2 12
Cartesian
-0.079 0.316 2.164
-3.088 2.799 6.492
3.102 3.430 2.165
0.093 5.914 6.493
3.016 0.000 0.000
0.007 3.115 4.328
-3.009 0.000 4.328
0.000 3.115 0.000
-4.811 1.245 8.186
-1.802 1.870 3.857
-4.197 4.375 8.167
-1.188 4.969 3.838
-2.380 0.262 6.501
0.629 2.853 2.173
-0.615 3.377 6.483
2.394 5.967 2.155
1.202 1.261 4.818
4.211 1.854 0.490
1.816 4.360 4.799
4.825 4.984 0.471
```